Entry 1:
Computed powder diffraction line list of Ba3Mn4 for Cu Kα (weighted mean of Kα1 and Kα2), from the PBE geometry in Alexandria.
Intensities are scaled so that the largest is 1000.

Peak list (10 most intense, 2θ = 5–70°, sorted by position)
16.73 deg, d 5.301, I 342
28.36 deg, d 3.147, I 744
29.81 deg, d 2.997, I 377
33.11 deg, d 2.706, I 1000
36.80 deg, d 2.443, I 326
50.22 deg, d 1.817, I 276
51.63 deg, d 1.770, I 235
60.05 deg, d 1.541, I 167
61.48 deg, d 1.508, I 163
61.93 deg, d 1.498, I 123

Crystal structure
Cell lengths 7.267, 7.267, 5.301 Å; angles 90.00, 90.00, 120.00 degrees
Fractional coordinates of all 7 atoms:
Ba: 0.000 0.500 0.000
Ba: 0.500 0.000 0.000
Ba: 0.500 0.500 0.000
Mn: 0.000 0.000 0.246
Mn: 0.000 0.000 0.754
Mn: 0.333 0.667 0.500
Mn: 0.667 0.333 0.500

***

Entry 2:
Computed powder diffraction line list of TbTm3Rh2 for Cu Kα (weighted mean of Kα1 and Kα2), from the PBE geometry in Alexandria.
Intensities are scaled so that the largest is 1000.

Peak list (10 most intense, 2θ = 5–70°, sorted by position)
31.02 deg, d 2.883, I 1000
31.73 deg, d 2.820, I 352
32.44 deg, d 2.760, I 167
33.42 deg, d 2.681, I 949
36.75 deg, d 2.445, I 441
39.17 deg, d 2.300, I 211
39.33 deg, d 2.291, I 485
56.73 deg, d 1.623, I 275
61.20 deg, d 1.514, I 194
69.67 deg, d 1.350, I 195

Crystal structure
Cell lengths 4.581, 8.675, 7.155 Å; angles 90.00, 90.00, 90.00 degrees
Fractional coordinates of all 12 atoms:
Tb: 0.000 0.085 0.000
Tb: 0.000 0.915 0.500
Tm: 0.000 0.331 0.629
Tm: 0.000 0.669 0.129
Tm: 0.500 0.173 0.347
Tm: 0.500 0.416 0.975
Tm: 0.500 0.584 0.475
Tm: 0.500 0.827 0.847
Rh: 0.000 0.344 0.232
Rh: 0.000 0.656 0.732
Rh: 0.500 0.160 0.743
Rh: 0.500 0.840 0.243

***

Entry 3:
Computed powder diffraction line list of Cs3Ag2Cl2F5 for Cu Kα (weighted mean of Kα1 and Kα2), from the PBE geometry in Alexandria.
Intensities are scaled so that the largest is 1000.

Peak list (10 most intense, 2θ = 5–70°, sorted by position)
7.07 deg, d 12.503, I 299
25.90 deg, d 3.440, I 768
26.59 deg, d 3.352, I 1000
31.35 deg, d 2.853, I 645
34.33 deg, d 2.612, I 260
37.96 deg, d 2.370, I 597
46.53 deg, d 1.952, I 318
50.03 deg, d 1.823, I 337
51.65 deg, d 1.770, I 247
59.02 deg, d 1.565, I 256

Crystal structure
Cell lengths 12.945, 12.945, 12.945 Å; angles 158.90, 158.90, 30.01 degrees
Fractional coordinates of all 12 atoms:
Cs: 0.000 0.000 0.000
Cs: 0.167 0.167 0.000
Cs: 0.833 0.833 0.000
Ag: 0.413 0.413 0.000
Ag: 0.587 0.587 0.000
Cl: 0.314 0.314 0.000
Cl: 0.686 0.686 0.000
F: 0.085 0.585 0.500
F: 0.415 0.915 0.500
F: 0.500 0.500 0.000
F: 0.585 0.085 0.500
F: 0.915 0.415 0.500

***

Entry 4:
Computed powder diffraction line list of Ca3InI for Cu Kα (weighted mean of Kα1 and Kα2), from the PBE geometry in Alexandria.
Intensities are scaled so that the largest is 1000.

Peak list (10 most intense, 2θ = 5–70°, sorted by position)
20.84 deg, d 4.262, I 1000
25.60 deg, d 3.480, I 196
29.65 deg, d 3.013, I 725
36.52 deg, d 2.460, I 481
42.42 deg, d 2.131, I 526
47.72 deg, d 1.906, I 224
52.61 deg, d 1.740, I 181
57.19 deg, d 1.611, I 260
65.74 deg, d 1.421, I 128
69.79 deg, d 1.348, I 224

Crystal structure
Cell lengths 6.027, 6.027, 6.027 Å; angles 90.00, 90.00, 90.00 degrees
Fractional coordinates of all 5 atoms:
Ca: 0.000 0.000 0.500
Ca: 0.000 0.500 0.000
Ca: 0.500 0.000 0.000
In: 0.000 0.000 0.000
I: 0.500 0.500 0.500